1.
Starting from the PBE+U geometry in Alexandria, the X-ray powder pattern of Cs3Mn2O4 was simulated for Cu Kα (weighted mean of Kα1 and Kα2).

Atomic structure:
```
data_Cs3Mn2O4
_chemical_formula_sum 'Cs12 Mn8 O16'
_space_group_name_H-M_alt 'I m m a'
_space_group_IT_number 74
_space_group_name_Hall '-I 2b 2'
_cell_length_a 6.1544
_cell_length_b 16.0608
_cell_length_c 8.6342
_cell_angle_alpha 90.00
_cell_angle_beta 90.00
_cell_angle_gamma 90.00
loop_
_atom_site_label
_atom_site_type_symbol
_atom_site_fract_x
_atom_site_fract_y
_atom_site_fract_z
Cs1 Cs 0.0000 0.1149 0.0725
Cs2 Cs 0.0000 0.2500 0.6010
Mn1 Mn 0.0000 0.0440 0.6441
O1 O 0.0000 0.0784 0.4134
O2 O 0.2500 0.0972 0.7500
```

Main lines, low angle first (5 to 70 degrees two-theta):
2θ/deg	I (rel.)	hkl
25.81	79.4	1 1 2
28.48	100.0	1 4 1
29.02	49.2	2 0 0
29.67	15.9	0 5 1
35.41	30.1	0 3 3
44.86	17.2	2 6 0
46.41	18.8	2 3 3
51.10	19.3	3 4 1


2.
Starting from the PBE+U geometry in Alexandria, the X-ray powder pattern of Cs5Mn2O6 was simulated for Cu Kα (weighted mean of Kα1 and Kα2).

Atomic structure:
```
data_Cs5Mn2O6
_chemical_formula_sum 'Cs20 Mn8 O24'
_space_group_name_H-M_alt 'C 1 2/c 1'
_space_group_IT_number 15
_cell_length_a 11.4568
_cell_length_b 7.8571
_cell_length_c 14.9446
_cell_angle_alpha 90.00
_cell_angle_beta 98.91
_cell_angle_gamma 90.00
loop_
_space_group_symop_operation_xyz
'x,y,z'
'-x,-y,-z'
'-x,y,-z+1/2'
'x,-y,z+1/2'
'x+1/2,y+1/2,z'
'-x+1/2,-y+1/2,-z'
'-x+1/2,y+1/2,-z+1/2'
'x+1/2,-y+1/2,z+1/2'
loop_
_atom_site_label
_atom_site_type_symbol
_atom_site_fract_x
_atom_site_fract_y
_atom_site_fract_z
Cs1 Cs 0.0000 0.1095 0.2500
Cs2 Cs 0.0543 0.2210 0.9933
Cs3 Cs 0.1554 0.4387 0.7073
Mn1 Mn 0.2242 0.3657 0.4271
O1 O 0.0782 0.4379 0.3766
O2 O 0.1642 0.0584 0.6388
O3 O 0.1878 0.1258 0.4508
```

Main lines, low angle first (5 to 70 degrees two-theta):
2θ/deg	I (rel.)	hkl
24.11	53.6	0 0 4
25.69	99.4	0 2 2
26.20	55.2	3 1 0
26.74	45.5	1 1 -4
27.71	100.0	3 1 1
29.08	53.0	0 2 3
29.77	79.8	3 1 -3
30.91	58.6	2 0 4


3.
Starting from the PBE+U geometry in Alexandria, the X-ray powder pattern of CsMnOs2O8 was simulated for Cu Kα (weighted mean of Kα1 and Kα2).

Atomic structure:
```
data_CsMnOs2O8
_chemical_formula_sum 'Cs3 Mn3 Os6 O24'
_space_group_name_H-M_alt 'R 3 2'
_space_group_IT_number 155
_space_group_name_Hall 'R 3 2"'
_cell_length_a 5.8979
_cell_length_b 5.8979
_cell_length_c 26.2533
_cell_angle_alpha 90.00
_cell_angle_beta 90.00
_cell_angle_gamma 120.00
loop_
_atom_site_label
_atom_site_type_symbol
_atom_site_fract_x
_atom_site_fract_y
_atom_site_fract_z
Cs1 Cs 0.0000 0.0000 0.0000
Mn1 Mn 0.0000 0.0000 0.5000
Os1 Os 0.0000 0.0000 0.2375
O1 O 0.0000 0.0000 0.3053
O2 O 0.0000 0.4988 0.1168
```

Main lines, low angle first (5 to 70 degrees two-theta):
2θ/deg	I (rel.)	hkl
18.64	19.0	0 1 2
22.05	100.0	1 0 4
24.31	10.2	0 1 5
30.31	41.4	1 1 0
32.43	20.1	0 1 8
37.80	14.9	0 2 4
44.98	13.2	2 0 8
49.20	22.8	2 1 4


4.
Starting from the PBE+U geometry in Alexandria, the X-ray powder pattern of CsMn2P6O18 was simulated for Cu Kα (weighted mean of Kα1 and Kα2).

Atomic structure:
```
data_CsMn2P6O18
_chemical_formula_sum 'Cs1 Mn2 P6 O18'
_space_group_name_H-M_alt 'P -1'
_space_group_IT_number 2
_cell_length_a 5.3066
_cell_length_b 9.0988
_cell_length_c 9.2755
_cell_angle_alpha 89.42
_cell_angle_beta 74.34
_cell_angle_gamma 74.77
loop_
_space_group_symop_operation_xyz
'x,y,z'
'-x,-y,-z'
loop_
_atom_site_label
_atom_site_type_symbol
_atom_site_fract_x
_atom_site_fract_y
_atom_site_fract_z
Cs1 Cs 0.0000 0.0000 0.0000
Mn1 Mn 0.5000 0.0000 0.5000
Mn2 Mn 0.5000 0.5000 0.0000
P1 P 0.0538 0.5470 0.7928
P2 P 0.0925 0.7663 0.5460
P3 P 0.4934 0.2601 0.7499
O1 O 0.1413 0.6107 0.6331
O2 O 0.1624 0.6100 0.9051
O3 O 0.1894 0.1927 0.4697
O4 O 0.1965 0.8817 0.6097
O5 O 0.1994 0.3683 0.7516
O6 O 0.2500 0.4355 0.1689
O7 O 0.3039 0.6868 0.3870
O8 O 0.4395 0.7018 0.1074
O9 O 0.4869 0.0988 0.7268
```

Main lines, low angle first (5 to 70 degrees two-theta):
2θ/deg	I (rel.)	hkl
13.70	17.5	0 1 -1
22.02	15.4	0 2 -1
22.71	100.0	1 -1 1
22.97	24.0	0 1 2
23.21	25.3	0 2 1
23.58	24.0	1 1 2
23.82	22.1	1 2 1
33.19	16.8	1 -1 3


5.
Starting from the PBE+U geometry in Alexandria, the X-ray powder pattern of Cs2MnPO4 was simulated for Cu Kα (weighted mean of Kα1 and Kα2).

Atomic structure:
```
data_Cs2MnPO4
_chemical_formula_sum 'Cs16 Mn8 P8 O32'
_space_group_name_H-M_alt 'F d d d'
_space_group_IT_number 70
_cell_length_a 5.4583
_cell_length_b 12.6963
_cell_length_c 22.9321
_cell_angle_alpha 90.00
_cell_angle_beta 90.00
_cell_angle_gamma 90.00
loop_
_space_group_symop_operation_xyz
'x,y,z'
'-x,-y,-z'
'-x+1/4,-y+1/4,z'
'x+1/4,y+1/4,-z'
'x,-y+1/4,-z+1/4'
'-x,y+1/4,z+1/4'
'-x+1/4,y,-z+1/4'
'x+1/4,-y,z+1/4'
'x,y+1/2,z+1/2'
'-x,-y+1/2,-z+1/2'
'-x+1/4,-y+3/4,z+1/2'
'x+1/4,y+3/4,-z+1/2'
'x,-y+3/4,-z+3/4'
'-x,y+3/4,z+3/4'
'-x+1/4,y+1/2,-z+3/4'
'x+1/4,-y+1/2,z+3/4'
'x+1/2,y,z+1/2'
'-x+1/2,-y,-z+1/2'
'-x+3/4,-y+1/4,z+1/2'
'x+3/4,y+1/4,-z+1/2'
'x+1/2,-y+1/4,-z+3/4'
'-x+1/2,y+1/4,z+3/4'
'-x+3/4,y,-z+3/4'
'x+3/4,-y,z+3/4'
'x+1/2,y+1/2,z'
'-x+1/2,-y+1/2,-z'
'-x+3/4,-y+3/4,z'
'x+3/4,y+3/4,-z'
'x+1/2,-y+3/4,-z+1/4'
'-x+1/2,y+3/4,z+1/4'
'-x+3/4,y+1/2,-z+1/4'
'x+3/4,-y+1/2,z+1/4'
loop_
_atom_site_label
_atom_site_type_symbol
_atom_site_fract_x
_atom_site_fract_y
_atom_site_fract_z
Cs1 Cs 0.1250 0.1250 0.3000
Mn1 Mn 0.1250 0.1250 0.1250
P1 P 0.1250 0.1250 0.6250
O1 O 0.0509 0.3043 0.8373
```

Main lines, low angle first (5 to 70 degrees two-theta):
2θ/deg	I (rel.)	hkl
21.19	88.4	1 1 3
27.24	100.0	0 2 6
28.11	43.8	0 4 0
29.14	54.6	1 3 3
33.15	34.6	1 3 5
35.81	42.3	2 2 0
40.62	30.7	2 0 6
50.13	34.1	2 4 6


6.
Starting from the PBE+U geometry in Alexandria, the X-ray powder pattern of Cs3Mn4P12O36 was simulated for Cu Kα (weighted mean of Kα1 and Kα2).

Atomic structure:
```
data_Cs3Mn4P12O36
_chemical_formula_sum 'Cs6 Mn8 P24 O72'
_space_group_name_H-M_alt 'C 1 2/m 1'
_space_group_IT_number 12
_cell_length_a 16.5387
_cell_length_b 10.1666
_cell_length_c 12.6783
_cell_angle_alpha 90.00
_cell_angle_beta 127.14
_cell_angle_gamma 90.00
loop_
_space_group_symop_operation_xyz
'x,y,z'
'-x,-y,-z'
'-x,y,-z'
'x,-y,z'
'x+1/2,y+1/2,z'
'-x+1/2,-y+1/2,-z'
'-x+1/2,y+1/2,-z'
'x+1/2,-y+1/2,z'
loop_
_atom_site_label
_atom_site_type_symbol
_atom_site_fract_x
_atom_site_fract_y
_atom_site_fract_z
Cs1 Cs 0.0000 0.0000 0.0000
Cs2 Cs 0.0000 0.2147 0.5000
Mn1 Mn 0.2088 0.0000 0.9119
Mn2 Mn 0.2483 0.0000 0.4263
P1 P 0.0988 0.2956 0.8696
P2 P 0.1256 0.2924 0.3015
P3 P 0.1697 0.5000 0.7744
P4 P 0.2403 0.0000 0.6771
O1 O 0.0121 0.3350 0.1747
O2 O 0.0975 0.1519 0.8415
O3 O 0.1032 0.3751 0.7605
O4 O 0.1419 0.1496 0.2903
O5 O 0.1467 0.3460 0.4264
O6 O 0.1656 0.5000 0.6534
O7 O 0.1749 0.3514 0.0045
O8 O 0.1780 0.0000 0.5286
O9 O 0.1783 0.0000 0.7285
O10 O 0.1865 0.3748 0.2597
O11 O 0.2285 0.0000 0.0906
```

Main lines, low angle first (5 to 70 degrees two-theta):
2θ/deg	I (rel.)	hkl
21.16	31.6	2 0 -3
21.53	55.3	4 0 -2
22.08	100.0	2 2 0
26.69	53.6	2 2 1
27.56	48.4	2 2 -3
28.82	52.4	4 2 -1
29.54	39.3	3 1 -4
29.64	34.1	4 2 -3


7.
Starting from the PBE+U geometry in Alexandria, the X-ray powder pattern of CsMn2P6O18 was simulated for Cu Kα (weighted mean of Kα1 and Kα2).

Atomic structure:
```
data_CsMn2P6O18
_chemical_formula_sum 'Cs2 Mn4 P12 O36'
_space_group_name_H-M_alt 'C 1 m 1'
_space_group_IT_number 8
_cell_length_a 10.6700
_cell_length_b 13.7175
_cell_length_c 6.4092
_cell_angle_alpha 90.00
_cell_angle_beta 112.91
_cell_angle_gamma 90.00
loop_
_space_group_symop_operation_xyz
'x,y,z'
'x,-y,z'
'x+1/2,y+1/2,z'
'x+1/2,-y+1/2,z'
loop_
_atom_site_label
_atom_site_type_symbol
_atom_site_fract_x
_atom_site_fract_y
_atom_site_fract_z
Cs1 Cs 0.0000 0.0000 0.0000
Mn1 Mn 0.0437 0.2262 0.4416
P1 P 0.0402 0.2855 0.9377
P2 P 0.2460 0.3900 0.3275
P3 P 0.3393 0.1106 0.5446
O1 O 0.0057 0.2258 0.1053
O2 O 0.0758 0.2238 0.7739
O3 O 0.1619 0.3599 0.0628
O4 O 0.1890 0.1116 0.4872
O5 O 0.1926 0.5000 0.3256
O6 O 0.1983 0.3325 0.4813
O7 O 0.3919 0.0000 0.5544
O8 O 0.3939 0.3902 0.3671
O9 O 0.3950 0.1664 0.3985
O10 O 0.4159 0.1424 0.8087
```

Main lines, low angle first (5 to 70 degrees two-theta):
2θ/deg	I (rel.)	hkl
18.05	43.6	2 0 0
18.45	73.5	2 0 -1
21.38	100.0	1 1 1
22.59	44.1	2 2 -1
24.12	66.2	1 3 -1
28.00	40.9	3 1 0
30.28	42.1	0 0 2
31.82	85.4	2 4 0